Record 1
For Te4Mo3WSe2S2, the GGA-PBE geometry in the Materials Project gives the calculated powder diffraction line list in this record (Cu Kα (weighted mean of Kα1 and Kα2)).
Kinematic intensities with the Lorentz-polarization factor, no thermal factor.

Top 10 peaks for 10 to 80 degrees two-theta, in order of rising 2θ:
- d 8.003, 11.1°, I 100
- d 6.669, 13.3°, I 19
- d 2.941, 30.4°, I 48
- d 2.763, 32.4°, I 12
- d 2.537, 35.4°, I 78
- d 2.454, 36.6°, I 16
- d 2.127, 42.5°, I 56
- d 2.051, 44.2°, I 19
- d 1.699, 54.0°, I 34
- d 1.268, 74.9°, I 15

Crystal structure
```
Te4Mo3WSe2S2
1.0
3.3989 0.0000 0.0000
-1.6994 2.9435 0.0000
0.0000 0.0000 40.0160
Te Mo W Se S
4 3 1 2 2
direct
0.0000 0.0000 0.0000 Te
0.0000 0.0000 0.0938 Te
0.3333 0.6667 0.8102 Te
0.3333 0.6667 0.9040 Te
0.0000 0.0000 0.4823 Mo
0.0000 0.0000 0.8571 Mo
0.3333 0.6667 0.0469 Mo
0.3333 0.6667 0.6697 W
0.0000 0.0000 0.6284 Se
0.0000 0.0000 0.7111 Se
0.3333 0.6667 0.4448 S
0.3333 0.6667 0.5199 S
```

=====

Record 2
For NaGdTiNbO6F, the GGA-PBE geometry in the Materials Project gives the calculated powder diffraction line list in this record (Cu Kα (weighted mean of Kα1 and Kα2)).
Kinematic intensities with the Lorentz-polarization factor, no thermal factor.

Top 10 peaks for 10 to 80 degrees two-theta, in order of rising 2θ:
- d 4.653, 19.1°, I 47
- d 4.249, 20.9°, I 7
- d 3.004, 29.7°, I 100
- d 2.887, 31.0°, I 12
- d 2.601, 34.5°, I 24
- d 2.270, 39.7°, I 12
- d 1.932, 47.0°, I 13
- d 1.839, 49.6°, I 47
- d 1.569, 58.9°, I 36
- d 1.502, 61.8°, I 8

Crystal structure
```
NaGdTiNbO6F
1.0
7.3555 0.0000 0.0000
0.0000 7.3555 0.0000
0.0000 0.0000 10.4102
Na Gd Ti Nb O F
4 4 4 4 24 4
direct
0.0000 0.2306 0.0000 Na
0.0000 0.7694 0.5000 Na
0.2306 0.0000 0.2500 Na
0.7694 0.0000 0.7500 Na
0.2164 0.5000 0.2500 Gd
0.5000 0.2164 0.0000 Gd
0.5000 0.7836 0.5000 Gd
0.7836 0.5000 0.7500 Gd
0.2671 0.5000 0.7500 Ti
0.5000 0.2671 0.5000 Ti
0.5000 0.7329 0.0000 Ti
0.7329 0.5000 0.2500 Ti
0.0000 0.2597 0.5000 Nb
0.0000 0.7403 0.0000 Nb
0.2597 0.0000 0.7500 Nb
0.7403 0.0000 0.2500 Nb
0.0532 0.4519 0.6330 O
0.0532 0.5481 0.8670 O
0.0642 0.0642 0.6250 O
0.0642 0.9358 0.8750 O
0.2510 0.2767 0.4260 O
0.2510 0.7233 0.0740 O
0.2767 0.2510 0.8240 O
0.2767 0.7490 0.6760 O
0.4519 0.0532 0.6170 O
0.4519 0.9468 0.8830 O
0.4549 0.4549 0.6250 O
0.4549 0.5451 0.8750 O
0.5451 0.4549 0.3750 O
0.5451 0.5451 0.1250 O
0.5481 0.0532 0.3830 O
0.5481 0.9468 0.1170 O
0.7233 0.2510 0.1760 O
0.7233 0.7490 0.3240 O
0.7490 0.2767 0.5740 O
0.7490 0.7233 0.9260 O
0.9358 0.0642 0.3750 O
0.9358 0.9358 0.1250 O
0.9468 0.4519 0.3670 O
0.9468 0.5481 0.1330 O
0.2473 0.2473 0.1250 F
0.2473 0.7527 0.3750 F
0.7527 0.2473 0.8750 F
0.7527 0.7527 0.6250 F
```

=====

Record 3
For Zn4CdS5, the GGA-PBE geometry in the Materials Project gives the calculated powder diffraction line list in this record (Cu Kα (weighted mean of Kα1 and Kα2)).
Kinematic intensities with the Lorentz-polarization factor, no thermal factor.

Top 10 peaks for 10 to 80 degrees two-theta, in order of rising 2θ:
- d 3.006, 29.7°, I 9
- d 2.992, 29.9°, I 25
- d 2.594, 34.6°, I 100
- d 1.837, 49.6°, I 32
- d 1.831, 49.8°, I 34
- d 1.568, 58.9°, I 4
- d 1.563, 59.1°, I 11
- d 1.503, 61.7°, I 5
- d 1.496, 62.0°, I 17
- d 1.297, 72.9°, I 10

Crystal structure
```
Zn4CdS5
1.0
1.8311 1.0572 15.0288
-1.8311 1.0572 15.0288
0.0000 -2.1144 15.0288
Zn Cd S
4 1 5
direct
0.0972 0.0972 0.0972 Zn
0.3008 0.3008 0.3008 Zn
0.6992 0.6992 0.6992 Zn
0.9028 0.9028 0.9028 Zn
0.5000 0.5000 0.5000 Cd
0.0000 0.0000 0.0000 S
0.2044 0.2044 0.2044 S
0.3982 0.3982 0.3982 S
0.6018 0.6018 0.6018 S
0.7956 0.7956 0.7956 S
```

=====

Record 4
For Ba3Se, the GGA-PBE geometry in the Materials Project gives the calculated powder diffraction line list in this record (Cu Kα (weighted mean of Kα1 and Kα2)).
Kinematic intensities with the Lorentz-polarization factor, no thermal factor.

Top 10 peaks for 10 to 80 degrees two-theta, in order of rising 2θ:
- d 5.457, 16.2°, I 3
- d 3.859, 23.0°, I 3
- d 3.151, 28.3°, I 100
- d 2.728, 32.8°, I 51
- d 1.929, 47.1°, I 36
- d 1.645, 55.9°, I 44
- d 1.575, 58.6°, I 13
- d 1.364, 68.8°, I 6
- d 1.252, 76.0°, I 18
- d 1.220, 78.4°, I 17

Crystal structure
```
Ba3Se
1.0
5.4570 0.0000 0.0000
0.0000 5.4570 0.0000
0.0000 0.0000 5.4570
Ba Se
3 1
direct
0.0000 0.0000 0.5000 Ba
0.0000 0.5000 0.0000 Ba
0.5000 0.0000 0.0000 Ba
0.5000 0.5000 0.5000 Se
```

=====

Record 5
For Ba2Tc2O5, the GGA-PBE geometry in the Materials Project gives the calculated powder diffraction line list in this record (Cu Kα (weighted mean of Kα1 and Kα2)).
Kinematic intensities with the Lorentz-polarization factor, no thermal factor.

Top 10 peaks for 10 to 80 degrees two-theta, in order of rising 2θ:
- d 2.908, 30.7°, I 100
- d 2.810, 31.8°, I 39
- d 2.134, 42.4°, I 15
- d 1.987, 45.7°, I 24
- d 1.700, 54.0°, I 18
- d 1.641, 56.1°, I 36
- d 1.454, 64.0°, I 16
- d 1.405, 66.6°, I 7
- d 1.339, 70.3°, I 9
- d 1.265, 75.1°, I 8

Crystal structure
```
Ba2Tc2O5
1.0
3.9737 0.0000 0.0000
0.0000 3.9737 0.0000
0.0000 0.0000 8.5365
Ba Tc O
2 2 5
direct
0.0000 0.0000 0.0000 Ba
0.0000 0.0000 0.5000 Ba
0.5000 0.5000 0.2413 Tc
0.5000 0.5000 0.7587 Tc
0.0000 0.5000 0.2360 O
0.0000 0.5000 0.7640 O
0.5000 0.0000 0.2360 O
0.5000 0.0000 0.7640 O
0.5000 0.5000 0.5000 O
```

=====

Record 6
For LuCu3S3, the GGA-PBE geometry in the Materials Project gives the calculated powder diffraction line list in this record (Cu Kα (weighted mean of Kα1 and Kα2)).
Kinematic intensities with the Lorentz-polarization factor, no thermal factor.

Top 10 peaks for 10 to 80 degrees two-theta, in order of rising 2θ:
- d 3.269, 27.3°, I 18
- d 3.141, 28.4°, I 19
- d 2.958, 30.2°, I 100
- d 2.748, 32.6°, I 15
- d 2.330, 38.6°, I 76
- d 2.184, 41.3°, I 14
- d 1.914, 47.5°, I 56
- d 1.607, 57.3°, I 16
- d 1.479, 62.8°, I 18
- d 1.439, 64.8°, I 21

Crystal structure
```
LuCu3S3
1.0
3.8276 0.0000 0.0000
-1.9138 3.3148 0.0000
0.0000 0.0000 19.6524
Lu Cu S
2 6 6
direct
0.0000 0.0000 0.1664 Lu
0.0000 0.0000 0.8336 Lu
0.3333 0.6667 0.0442 Cu
0.3333 0.6667 0.4016 Cu
0.3333 0.6667 0.7082 Cu
0.6667 0.3333 0.2918 Cu
0.6667 0.3333 0.5984 Cu
0.6667 0.3333 0.9558 Cu
0.3333 0.6667 0.2403 S
0.3333 0.6667 0.5952 S
0.3333 0.6667 0.9189 S
0.6667 0.3333 0.0811 S
0.6667 0.3333 0.4048 S
0.6667 0.3333 0.7597 S
```

=====

Record 7
For Nd3ZrSb5, the GGA-PBE geometry in the Materials Project gives the calculated powder diffraction line list in this record (Cu Kα (weighted mean of Kα1 and Kα2)).
Kinematic intensities with the Lorentz-polarization factor, no thermal factor.

Top 10 peaks for 10 to 80 degrees two-theta, in order of rising 2θ:
- d 3.185, 28.0°, I 13
- d 2.796, 32.0°, I 73
- d 2.745, 32.6°, I 85
- d 2.646, 33.9°, I 100
- d 2.150, 42.0°, I 19
- d 1.905, 47.7°, I 27
- d 1.811, 50.4°, I 12
- d 1.754, 52.2°, I 18
- d 1.565, 59.0°, I 15
- d 1.377, 68.1°, I 20

Crystal structure
```
Nd3ZrSb5
1.0
9.5084 0.0000 0.0000
-4.7542 8.2345 0.0000
0.0000 0.0000 6.3691
Nd Zr Sb
6 2 10
direct
0.0000 0.3825 0.2500 Nd
0.0000 0.6175 0.7500 Nd
0.3825 0.0000 0.2500 Nd
0.3825 0.3825 0.7500 Nd
0.6175 0.0000 0.7500 Nd
0.6175 0.6175 0.2500 Nd
0.0000 0.0000 0.0000 Zr
0.0000 0.0000 0.5000 Zr
0.0000 0.2643 0.7500 Sb
0.0000 0.7357 0.2500 Sb
0.2643 0.0000 0.7500 Sb
0.2643 0.2643 0.2500 Sb
0.3333 0.6667 0.0000 Sb
0.3333 0.6667 0.5000 Sb
0.6667 0.3333 0.0000 Sb
0.6667 0.3333 0.5000 Sb
0.7357 0.0000 0.2500 Sb
0.7357 0.7357 0.7500 Sb
```